# 1
Theoretical powder diffraction line list of SrNdCoSbO6 for Cu Kα (λ = 1.5418 Å), from a DFT-relaxed cell (PBE+U, the Materials Project).
Neutral-atom scattering factors, no anomalous dispersion.

The 10 most intense peaks (10° ≤ 2θ ≤ 90°), by angle:
2theta	I (rel.)
19.20	10.6
31.60	100.0
37.24	5.7
38.96	5.6
45.29	32.2
49.62	2.5
56.27	39.1
65.98	19.2
75.01	16.8
83.66	6.4

Structural model:
a = 5.6631 Å, b = 5.6631 Å, c = 5.6631 Å
α = 60.00°, β = 60.00°, γ = 60.00°
Element x y z (fractional)
Sr: 0.0000 0.0000 0.0000
Nd: 0.5000 0.5000 0.5000
Co: 0.2500 0.2500 0.2500
Sb: 0.7500 0.7500 0.7500
O: 0.5036 0.5036 0.9964
O: 0.5036 0.9964 0.5036
O: 0.5036 0.9964 0.9964
O: 0.9964 0.5036 0.5036
O: 0.9964 0.5036 0.9964
O: 0.9964 0.9964 0.5036

***

# 2
Theoretical powder diffraction line list of Cr2P3O12 for Cu Kα (λ = 1.5418 Å), from a DFT-relaxed cell (PBE+U, the Materials Project).
Neutral-atom scattering factors, no anomalous dispersion.

The 10 most intense peaks (10° ≤ 2θ ≤ 90°), by angle:
2theta	I (rel.)
14.51	32.3
20.42	59.5
20.73	25.9
24.21	100.0
29.26	41.5
32.18	15.3
32.61	23.8
36.31	13.1
46.86	14.6
56.85	11.7

Structural model:
a = 8.6982 Å, b = 8.6982 Å, c = 8.6982 Å
α = 59.03°, β = 59.03°, γ = 59.03°
Element x y z (fractional)
Cr: 0.1393 0.1393 0.1393
Cr: 0.3607 0.3607 0.3607
Cr: 0.6393 0.6393 0.6393
Cr: 0.8607 0.8607 0.8607
P: 0.0352 0.7500 0.4648
P: 0.2500 0.5352 0.9648
P: 0.4648 0.0352 0.7500
P: 0.5352 0.9648 0.2500
P: 0.7500 0.4648 0.0352
P: 0.9648 0.2500 0.5352
O: 0.0050 0.7899 0.6345
O: 0.0648 0.9184 0.2783
O: 0.0816 0.7217 0.9352
O: 0.1345 0.2899 0.5050
O: 0.2101 0.3655 0.9950
O: 0.2217 0.5816 0.4352
O: 0.2783 0.0648 0.9184
O: 0.2899 0.5050 0.1345
O: 0.3655 0.9950 0.2101
O: 0.4184 0.5648 0.7783
O: 0.4352 0.2217 0.5816
O: 0.4950 0.8655 0.7101
O: 0.5050 0.1345 0.2899
O: 0.5648 0.7783 0.4184
O: 0.5816 0.4352 0.2217
O: 0.6345 0.0050 0.7899
O: 0.7101 0.4950 0.8655
O: 0.7217 0.9352 0.0816
O: 0.7783 0.4184 0.5648
O: 0.7899 0.6345 0.0050
O: 0.8655 0.7101 0.4950
O: 0.9184 0.2783 0.0648
O: 0.9352 0.0816 0.7217
O: 0.9950 0.2101 0.3655

***

# 3
Theoretical powder diffraction line list of Ba9Ca3La4Fe8O30 for Cu Kα (λ = 1.5418 Å), from a DFT-relaxed cell (PBE+U, the Materials Project).
Neutral-atom scattering factors, no anomalous dispersion.

The 10 most intense peaks (10° ≤ 2θ ≤ 90°), by angle:
2theta	I (rel.)
26.27	17.4
29.50	27.3
30.24	100.0
30.79	45.6
36.65	31.8
37.38	13.6
43.70	20.1
48.22	19.9
53.72	15.4
62.90	13.2

Structural model:
a = 7.0524 Å, b = 11.8129 Å, c = 11.8245 Å
α = 119.96°, β = 90.00°, γ = 90.01°
Element x y z (fractional)
Ba: 0.0000 0.0000 0.0000
Ba: 0.0025 0.5235 0.5269
Ba: 0.3133 0.8439 0.6861
Ba: 0.4869 0.8383 0.1754
Ba: 0.4899 0.3443 0.6880
Ba: 0.4924 0.3408 0.1722
Ba: 0.8123 0.5052 0.0088
Ba: 0.8182 0.1758 0.3472
Ba: 0.9971 0.0067 0.5235
Ca: 0.1702 0.6558 0.8678
Ca: 0.3147 0.1764 0.3478
Ca: 0.6696 0.1367 0.8280
La: 0.1636 0.2184 0.8689
La: 0.1640 0.6539 0.3031
La: 0.6628 0.6963 0.8271
La: 0.6637 0.6976 0.3906
Fe: 0.3556 0.5101 0.0113
Fe: 0.4851 0.5288 0.5252
Fe: 0.4882 0.0003 0.5272
Fe: 0.4879 0.9988 0.9920
Fe: 0.8535 0.8462 0.6837
Fe: 0.9938 0.3498 0.1714
Fe: 0.9965 0.3532 0.7003
Fe: 0.9966 0.8234 0.1692
O: 0.0037 0.0076 0.7626
O: 0.1099 0.2691 0.2555
O: 0.1097 0.2696 0.5339
O: 0.1102 0.9895 0.2545
O: 0.1670 0.4250 0.1007
O: 0.1671 0.4265 0.8472
O: 0.1680 0.6776 0.0990
O: 0.3462 0.1119 0.6765
O: 0.3468 0.1116 0.9541
O: 0.3525 0.5716 0.6795
O: 0.3535 0.5716 0.4114
O: 0.3544 0.8448 0.4121
O: 0.3541 0.8445 0.9515
O: 0.4951 0.3430 0.9312
O: 0.4960 0.5936 0.1819
O: 0.5044 0.5928 0.9321
O: 0.5584 0.0863 0.1674
O: 0.5593 0.0856 0.4374
O: 0.5590 0.3546 0.4362
O: 0.6676 0.6705 0.5937
O: 0.6677 0.9272 0.8492
O: 0.6687 0.9266 0.5952
O: 0.8492 0.5011 0.7349
O: 0.8487 0.7889 0.0224
O: 0.8549 0.2376 0.0196
O: 0.8556 0.5038 0.2857
O: 0.8566 0.2384 0.7374
O: 0.8567 0.7863 0.2851
O: 0.9951 0.7595 0.7637
O: 0.9957 0.7596 0.5138

***

# 4
Theoretical powder diffraction line list of Li2MnF4 for Cu Kα (λ = 1.5418 Å), from a DFT-relaxed cell (PBE+U, the Materials Project).
Neutral-atom scattering factors, no anomalous dispersion.

The 10 most intense peaks (10° ≤ 2θ ≤ 90°), by angle:
2theta	I (rel.)
15.42	100.0
18.38	48.2
22.39	45.8
23.85	38.6
25.52	58.6
25.70	65.7
30.97	45.8
31.26	55.0
42.38	50.8
54.65	46.1

Structural model:
a = 6.0099 Å, b = 5.4827 Å, c = 10.6496 Å
α = 90.00°, β = 107.03°, γ = 90.00°
Element x y z (fractional)
Li: 0.1140 0.2462 0.2955
Li: 0.1140 0.2538 0.7955
Li: 0.1732 0.6463 0.0731
Li: 0.1732 0.8537 0.5731
Li: 0.8268 0.1463 0.4269
Li: 0.8268 0.3537 0.9269
Li: 0.8860 0.7462 0.2045
Li: 0.8860 0.7538 0.7045
Mn: 0.4102 0.1400 0.1174
Mn: 0.4102 0.3600 0.6174
Mn: 0.5898 0.6400 0.3826
Mn: 0.5898 0.8600 0.8826
F: 0.1561 0.1596 0.4718
F: 0.1561 0.3404 0.9718
F: 0.1658 0.5471 0.7042
F: 0.1658 0.9529 0.2042
F: 0.3233 0.0544 0.7313
F: 0.3233 0.4456 0.2313
F: 0.3567 0.6812 0.4958
F: 0.3567 0.8188 0.9958
F: 0.6433 0.1812 0.0042
F: 0.6433 0.3188 0.5042
F: 0.6767 0.5544 0.7687
F: 0.6767 0.9456 0.2687
F: 0.8342 0.0471 0.7958
F: 0.8342 0.4529 0.2958
F: 0.8439 0.6596 0.0282
F: 0.8439 0.8404 0.5282

***

# 5
Theoretical powder diffraction line list of MgCr3S6O24 for Cu Kα (λ = 1.5418 Å), from a DFT-relaxed cell (PBE+U, the Materials Project).
Neutral-atom scattering factors, no anomalous dispersion.

The 10 most intense peaks (10° ≤ 2θ ≤ 90°), by angle:
2theta	I (rel.)
12.80	28.1
14.40	85.5
14.57	32.1
19.85	35.8
23.32	24.5
24.05	45.8
24.26	100.0
24.46	38.2
31.75	25.6
31.97	24.5

Structural model:
a = 8.3368 Å, b = 8.3670 Å, c = 8.9953 Å
α = 62.36°, β = 63.15°, γ = 60.36°
Element x y z (fractional)
Mg: 0.0000 0.0000 0.0000
Cr: 0.1762 0.5123 0.3007
Cr: 0.4679 0.8012 0.4241
Cr: 0.6750 0.0116 0.8136
S: 0.0723 0.1118 0.6019
S: 0.3029 0.8938 0.1077
S: 0.3658 0.4088 0.6073
S: 0.5474 0.1998 0.1168
S: 0.7898 0.7036 0.6030
S: 0.8605 0.6423 0.1100
O: 0.0572 0.5521 0.1321
O: 0.1069 0.2759 0.4460
O: 0.1096 0.1065 0.7497
O: 0.1586 0.0873 0.0627
O: 0.1795 0.4617 0.7361
O: 0.1972 0.9247 0.5638
O: 0.2165 0.7639 0.1143
O: 0.3253 0.8246 0.2826
O: 0.3504 0.4385 0.4367
O: 0.4225 0.3960 0.1300
O: 0.4675 0.5349 0.5747
O: 0.4705 0.0619 0.2791
O: 0.4922 0.8671 0.9714
O: 0.4942 0.2036 0.6633
O: 0.5371 0.1910 0.9591
O: 0.5943 0.7953 0.5725
O: 0.7236 0.6768 0.2801
O: 0.7451 0.1624 0.1012
O: 0.8021 0.8384 0.6585
O: 0.8059 0.5141 0.7332
O: 0.8242 0.5351 0.0516
O: 0.8566 0.8463 0.9721
O: 0.8667 0.1403 0.6452
O: 0.9442 0.6950 0.4314

***

# 6
Theoretical powder diffraction line list of FeOF for Cu Kα (λ = 1.5418 Å), from a DFT-relaxed cell (PBE+U, the Materials Project).
Neutral-atom scattering factors, no anomalous dispersion.

The 10 most intense peaks (10° ≤ 2θ ≤ 90°), by angle:
2theta	I (rel.)
26.75	100.0
34.91	55.8
38.19	7.7
39.95	16.8
52.69	59.1
55.11	16.5
60.37	9.5
62.29	7.9
66.92	19.6
67.21	12.0

Structural model:
a = 6.6656 Å, b = 6.6656 Å, c = 3.0666 Å
α = 90.00°, β = 90.00°, γ = 90.00°
Element x y z (fractional)
Fe: 0.2284 0.7652 0.0000
Fe: 0.2348 0.2284 0.5000
Fe: 0.7652 0.7716 0.5000
Fe: 0.7716 0.2348 0.0000
O: 0.0512 0.7422 0.5000
O: 0.2578 0.0512 0.0000
O: 0.7422 0.9488 0.0000
O: 0.9488 0.2578 0.5000
F: 0.2619 0.4463 0.0000
F: 0.4463 0.7381 0.5000
F: 0.5537 0.2619 0.5000
F: 0.7381 0.5537 0.0000

***

# 7
Theoretical powder diffraction line list of La6Sm2Cr5Fe3O24 for Cu Kα (λ = 1.5418 Å), from a DFT-relaxed cell (PBE+U, the Materials Project).
Neutral-atom scattering factors, no anomalous dispersion.

The 10 most intense peaks (10° ≤ 2θ ≤ 90°), by angle:
2theta	I (rel.)
22.68	15.8
32.29	100.0
39.82	20.6
46.31	32.7
52.16	8.4
57.58	38.1
67.57	19.1
76.88	16.1
81.40	6.8
85.85	6.4

Structural model:
a = 7.8420 Å, b = 7.8416 Å, c = 7.8434 Å
α = 90.00°, β = 90.01°, γ = 90.00°
Element x y z (fractional)
La: 0.0000 0.2497 0.0000
La: 0.0000 0.2497 0.4983
La: 0.0000 0.7503 0.0000
La: 0.0000 0.7503 0.4983
La: 0.5006 0.2497 0.4983
La: 0.5006 0.7503 0.4983
Sm: 0.5006 0.2497 0.0000
Sm: 0.5006 0.7503 0.0000
Cr: 0.2507 0.0000 0.2487
Cr: 0.2508 0.5000 0.2487
Cr: 0.7498 0.0000 0.2487
Cr: 0.7499 0.0000 0.7496
Cr: 0.7498 0.5000 0.2487
Fe: 0.2509 0.0000 0.7498
Fe: 0.2509 0.5000 0.7498
Fe: 0.7497 0.5000 0.7498
O: 0.0001 0.0000 0.2490
O: 0.9998 0.0000 0.7493
O: 0.0002 0.5000 0.2490
O: 0.0000 0.5000 0.7493
O: 0.2505 0.0000 0.4982
O: 0.2505 0.5000 0.4982
O: 0.2518 0.2499 0.2476
O: 0.2516 0.2497 0.7505
O: 0.2518 0.7501 0.2476
O: 0.2516 0.7503 0.7505
O: 0.2529 0.0000 0.0000
O: 0.2529 0.5000 0.0001
O: 0.5005 0.0000 0.2463
O: 0.5004 0.5000 0.2463
O: 0.5008 0.0000 0.7517
O: 0.5006 0.5000 0.7516
O: 0.7475 0.0000 0.9996
O: 0.7477 0.5000 0.0000
O: 0.7489 0.2494 0.7506
O: 0.7488 0.2498 0.2476
O: 0.7488 0.7502 0.2476
O: 0.7489 0.7506 0.7506
O: 0.7501 0.0000 0.4986
O: 0.7501 0.5000 0.4982